Simulated PXRD pattern of Tb4ErS4 for Cu Kα X-rays, from a cell relaxed with PBE.
Lines closer than 0.1° are merged.

Structural model:
Cell: 5.528 6.713 6.720 Å, 80.33 65.78 65.83°
Space group P-1 (No. 2)
Symmetry-distinct sites (fractional):
Tb 0.102 0.097 0.199
Tb 0.301 0.301 0.597
Er 0.500 0.500 0.000
S 0.201 0.701 0.396
S 0.402 0.897 0.799

Most intense lines, 10 to 90 degrees two-theta, low angle first:
| 2θ/deg | Rel. int. | (hkl) |
| --- | --- | --- |
| 28.12 | 100 | 1 2 1 |
| 32.39 | 35 | 2 1 1 |
| 32.69 | 67 | 0 1 2 |
| 46.63 | 25 | 2 0 -1 |
| 46.73 | 25 | 2 3 0 |
| 46.90 | 24 | 0 3 1 |
| 55.57 | 28 | 1 3 3 |
| 58.12 | 19 | 2 0 4 |

Simulated PXRD pattern of Sr2Mg2Tl5 for Cu Kα X-rays, from a cell relaxed with PBE.
Lines closer than 0.1° are merged.

Structural model:
Cell: 5.573 5.573 9.029 Å, 90.00 90.00 90.00°
Space group P4/mmm (No. 123)
Symmetry-distinct sites (fractional):
Sr 0.000 0.000 0.000
Sr 0.000 0.000 0.500
Mg 0.500 0.500 0.157
Tl 0.000 0.500 0.266
Tl 0.500 0.500 0.500

Most intense lines, 10 to 90 degrees two-theta, low angle first:
| 2θ/deg | Rel. int. | (hkl) |
| --- | --- | --- |
| 22.56 | 10 | 1 1 0 |
| 30.10 | 100 | 1 1 2 |
| 32.12 | 49 | 2 0 0 |
| 39.94 | 11 | 0 0 4 |
| 46.07 | 18 | 2 2 0 |
| 52.15 | 20 | 2 0 4 |
| 56.02 | 36 | 3 1 2 |
| 62.58 | 11 | 2 2 4 |

> Number 1 is which compound?

Tb4ErS4